Ge6Bi7O22: calculated powder XRD pattern (copper Kα), based on a crystal structure in the Materials Project, relaxed with GGA-PBE.

Structure:
```
data_Ge6Bi7O22
_chemical_formula_sum 'Ge6 Bi7 O22'
_symmetry_space_group_name_H-M 'P 1'
_symmetry_Int_Tables_number 1
_cell_length_a 9.138
_cell_length_b 9.246
_cell_length_c 9.263
_cell_angle_alpha 107.85
_cell_angle_beta 110.32
_cell_angle_gamma 109.36
loop_
_symmetry_equiv_pos_as_xyz
'x,y,z'
loop_
_atom_site_label
_atom_site_type_symbol
_atom_site_fract_x
_atom_site_fract_y
_atom_site_fract_z
_atom_site_occupancy
Ge1 Ge 0.000 0.000 0.000 1
Ge2 Ge 0.110 0.257 0.617 1
Ge3 Ge 0.357 0.859 0.742 1
Ge4 Ge 0.487 0.742 0.253 1
Ge5 Ge 0.656 0.358 0.496 1
Ge6 Ge 0.860 0.492 0.126 1
Bi1 Bi 0.070 0.627 0.889 1
Bi2 Bi 0.225 0.935 0.366 1
Bi3 Bi 0.396 0.302 0.055 1
Bi4 Bi 0.571 0.629 0.892 1
Bi5 Bi 0.731 0.112 0.179 1
Bi6 Bi 0.735 0.113 0.705 1
Bi7 Bi 0.907 0.802 0.543 1
O1 O 0.008 0.702 0.318 1
O2 O 0.024 0.824 0.029 1
O3 O 0.089 0.042 0.555 1
O4 O 0.144 0.809 0.725 1
O5 O 0.201 0.189 0.152 1
O6 O 0.290 0.761 0.198 1
O7 O 0.314 0.399 0.824 1
O8 O 0.383 0.676 0.721 1
O9 O 0.403 0.927 0.594 1
O10 O 0.454 0.544 0.250 1
O11 O 0.505 0.054 0.949 1
O12 O 0.549 0.785 0.101 1
O13 O 0.556 0.191 0.531 1
O14 O 0.610 0.310 0.286 1
O15 O 0.651 0.484 0.067 1
O16 O 0.676 0.910 0.460 1
O17 O 0.799 0.570 0.656 1
O18 O 0.801 0.957 0.015 1
O19 O 0.885 0.455 0.936 1
O20 O 0.894 0.333 0.174 1
O21 O 0.929 0.985 0.786 1
O22 O 0.938 0.285 0.659 1
```

Top 6 peaks for 2θ = 10–90°, low angle first:
2θ (°), intensity, hkl
20.42, 67, 1 1 -2
26.07, 48, -2 1 2
26.57, 100, 1 -1 2
26.82, 54, 2 -1 1
31.40, 47, -3 1 2
31.53, 40, 0 3 -2